Diffraction record for NaSiAgSeS2. The X-ray diffraction stick pattern is computed, not measured: it uses the PBE geometry in OQMD and Cu Kα, 1.54184 Å.
Kinematic intensities with the Lorentz-polarization factor, no thermal factor.

Peak list (6 most intense, 5 to 70 degrees two-theta, most intense first)
2theta  d (Å)  Rel. int.  index
12.2  7.276  100  0 2 0
33.5  2.677  100  1 3 1
32.3  2.775  88  1 3 0
35.4  2.533  73  0 0 4
38.2  2.359  70  0 6 1
17.5  5.066  60  0 0 2

Crystal structure
```
data_NaSiAgSeS2
_chemical_formula_sum 'Na4 Si4 Ag4 Se4 S8'
_space_group_name_H-M_alt 'C m c m'
_space_group_IT_number 63
_space_group_name_Hall '-C 2c 2'
_cell_length_a 3.3842
_cell_length_b 14.5514
_cell_length_c 10.1314
_cell_angle_alpha 90.00
_cell_angle_beta 90.00
_cell_angle_gamma 90.00
loop_
_atom_site_label
_atom_site_type_symbol
_atom_site_fract_x
_atom_site_fract_y
_atom_site_fract_z
Na1 Na 0.0000 0.2035 0.2500
Si1 Si 0.0000 0.5000 0.0000
Ag1 Ag 0.0000 0.1192 0.7500
Se1 Se 0.0000 0.4573 0.7500
S1 S 0.0000 0.1135 0.5150
```